# 1
Diffraction record for Rb6Co2O7. The XRD peak list is computed, not measured: it uses a cell relaxed with PBE+U and λ = 1.5418 Å (Cu Kα).
Lines closer than 0.1° are merged.

```
data_Rb6Co2O7
_chemical_formula_sum 'Rb12 Co4 O14'
_symmetry_space_group_name_H-M 'P 1 21/c 1'
_symmetry_Int_Tables_number 14
_symmetry_space_group_name_Hall '-P 2ybc'
_cell_length_a 6.915
_cell_length_b 9.542
_cell_length_c 11.709
_cell_angle_alpha 90.00
_cell_angle_beta 124.30
_cell_angle_gamma 90.00
loop_
_atom_site_label
_atom_site_fract_x
_atom_site_fract_y
_atom_site_fract_z
_atom_site_occupancy
Rb1 0.047 0.147 0.419 1
Rb2 0.200 0.530 0.448 1
Rb3 0.409 0.209 0.284 1
Co1 0.321 0.639 0.870 1
O1 0.056 0.667 0.864 1
O2 0.252 0.590 0.702 1
O3 0.497 0.206 0.071 1
O4 0.500 0.000 0.500 1
```

Most intense lines, 2θ from 15° to 90°, sorted by position:
(hkl)  2θ/deg  intensity
0 2 2  26.24  32
2 1 -2  27.45  49
2 1 -1  28.72  38
0 3 1  29.57  100
1 0 2  30.20  54
1 1 -4  32.39  64
2 2 -1  33.09  33
1 3 1  35.99  41
2 3 -3  39.83  19
3 1 0  48.78  21

# 2
Diffraction record for Li3VOF5. The XRD peak list is computed, not measured: it uses a cell relaxed with PBE+U and λ = 1.5418 Å (Cu Kα).
Lines closer than 0.1° are merged.

```
data_Li3VOF5
_chemical_formula_sum 'Li12 V4 O4 F20'
_symmetry_space_group_name_H-M 'P 1'
_symmetry_Int_Tables_number 1
_symmetry_space_group_name_Hall 'P 1'
_cell_length_a 5.049
_cell_length_b 8.613
_cell_length_c 9.844
_cell_angle_alpha 90.18
_cell_angle_beta 90.17
_cell_angle_gamma 90.12
loop_
_atom_site_label
_atom_site_fract_x
_atom_site_fract_y
_atom_site_fract_z
_atom_site_occupancy
Li1 0.000 0.000 0.000 1
Li2 0.000 0.007 0.538 1
Li3 0.006 0.414 0.497 1
Li4 0.489 0.810 0.519 1
Li5 0.497 0.509 0.743 1
Li6 0.502 0.609 0.019 1
Li7 0.502 0.916 0.786 1
Li8 0.509 0.915 0.242 1
Li9 0.515 0.501 0.282 1
Li10 0.990 0.106 0.263 1
Li11 0.994 0.415 0.043 1
Li12 0.996 0.311 0.766 1
V1 0.032 0.719 0.284 1
V2 0.478 0.219 0.009 1
V3 0.502 0.200 0.519 1
V4 0.978 0.700 0.773 1
O1 0.147 0.560 0.360 1
O2 0.170 0.865 0.378 1
O3 0.202 0.217 0.915 1
O4 0.701 0.703 0.866 1
F1 0.163 0.870 0.866 1
F2 0.173 0.205 0.412 1
F3 0.185 0.548 0.881 1
F4 0.304 0.728 0.149 1
F5 0.307 0.693 0.656 1
F6 0.318 0.349 0.641 1
F7 0.324 0.072 0.142 1
F8 0.355 0.018 0.618 1
F9 0.361 0.401 0.119 1
F10 0.659 0.370 0.417 1
F11 0.662 0.050 0.917 1
F12 0.682 0.044 0.400 1
F13 0.685 0.372 0.901 1
F14 0.686 0.717 0.367 1
F15 0.808 0.226 0.127 1
F16 0.819 0.580 0.145 1
F17 0.823 0.847 0.640 1
F18 0.824 0.191 0.632 1
F19 0.855 0.894 0.164 1
F20 0.858 0.519 0.663 1
```

Most intense lines, 2θ from 15° to 90°, sorted by position:
(hkl)  2θ/deg  intensity
1 1 0  20.39  61
0 2 0  20.63  28
0 1 2  20.79  100
1 0 2  25.27  37
-1 2 2  32.81  31
2 0 -2  40.09  15
2 0 2  40.19  17
1 3 -2  40.49  50
1 3 2  40.63  16
1 3 -4  52.13  16

# 3
Diffraction record for Ba3Sr5Co3Cu5O24. The XRD peak list is computed, not measured: it uses a cell relaxed with PBE+U and λ = 1.5418 Å (Cu Kα).
Lines closer than 0.1° are merged.

```
data_Ba3Sr5Co3Cu5O24
_chemical_formula_sum 'Ba3 Sr5 Co3 Cu5 O24'
_symmetry_space_group_name_H-M 'P 1'
_symmetry_Int_Tables_number 1
_symmetry_space_group_name_Hall 'P 1'
_cell_length_a 7.853
_cell_length_b 7.890
_cell_length_c 7.899
_cell_angle_alpha 89.91
_cell_angle_beta 89.86
_cell_angle_gamma 89.98
loop_
_atom_site_label
_atom_site_fract_x
_atom_site_fract_y
_atom_site_fract_z
_atom_site_occupancy
Ba1 0.000 0.000 0.000 1
Ba2 0.000 0.498 0.000 1
Ba3 0.497 0.498 0.000 1
Sr1 0.001 0.001 0.497 1
Sr2 0.001 0.498 0.497 1
Sr3 0.495 0.001 0.497 1
Sr4 0.495 0.498 0.496 1
Sr5 0.496 0.001 0.000 1
Co1 0.747 0.249 0.744 1
Co2 0.747 0.750 0.745 1
Co3 0.747 0.751 0.250 1
Cu1 0.248 0.249 0.747 1
Cu2 0.248 0.750 0.250 1
Cu3 0.249 0.249 0.249 1
Cu4 0.249 0.750 0.747 1
Cu5 0.748 0.249 0.249 1
O1 0.249 0.248 0.499 1
O2 0.249 0.499 0.262 1
O3 0.249 0.500 0.734 1
O4 0.249 0.750 0.500 1
O5 0.254 0.998 0.740 1
O6 0.254 0.999 0.257 1
O7 0.255 0.243 0.997 1
O8 0.255 0.756 0.997 1
O9 0.499 0.243 0.257 1
O10 0.499 0.754 0.256 1
O11 0.505 0.245 0.740 1
O12 0.511 0.754 0.743 1
O13 0.744 0.244 0.995 1
O14 0.744 0.754 0.003 1
O15 0.744 0.991 0.256 1
O16 0.745 0.002 0.742 1
O17 0.746 0.248 0.499 1
O18 0.747 0.497 0.738 1
O19 0.747 0.508 0.258 1
O20 0.747 0.751 0.495 1
O21 0.985 0.750 0.738 1
O22 0.990 0.248 0.739 1
O23 0.997 0.248 0.262 1
O24 0.997 0.750 0.261 1
```

Most intense lines, 2θ from 15° to 90°, sorted by position:
(hkl)  2θ/deg  intensity
2 0 2  32.08  100
2 2 0  32.17  99
2 -2 2  39.60  17
0 4 0  45.99  47
4 0 0  46.24  23
2 2 4  57.15  19
2 2 -4  57.26  38
4 2 -2  57.41  19
0 4 -4  67.14  14
4 4 0  67.30  20

# 4
Diffraction record for Li3VOF5. The XRD peak list is computed, not measured: it uses a cell relaxed with PBE+U and λ = 1.5418 Å (Cu Kα).
Lines closer than 0.1° are merged.

```
data_Li3VOF5
_chemical_formula_sum 'Li3 V1 O1 F5'
_symmetry_space_group_name_H-M 'P 1'
_symmetry_Int_Tables_number 1
_symmetry_space_group_name_Hall 'P 1'
_cell_length_a 5.488
_cell_length_b 5.503
_cell_length_c 5.510
_cell_angle_alpha 108.67
_cell_angle_beta 108.53
_cell_angle_gamma 111.08
loop_
_atom_site_label
_atom_site_fract_x
_atom_site_fract_y
_atom_site_fract_z
_atom_site_occupancy
Li1 0.000 0.000 0.000 1
Li2 0.143 0.384 0.761 1
Li3 0.523 0.992 0.527 1
V1 0.810 0.544 0.262 1
O1 0.549 0.279 0.269 1
F1 0.135 0.868 0.256 1
F2 0.162 0.594 0.556 1
F3 0.557 0.591 0.967 1
F4 0.857 0.281 0.949 1
F5 0.862 0.906 0.573 1
```

Most intense lines, 2θ from 15° to 90°, sorted by position:
(hkl)  2θ/deg  intensity
0 0 1  19.55  42
0 1 -1  19.87  100
-1 1 1  27.78  60
1 1 -1  28.71  24
-1 1 2  44.55  14
-1 2 1  44.71  29
2 -1 1  44.80  15
1 2 -2  46.00  23
2 -2 2  57.39  12
3 0 0  62.42  8

# 5
Diffraction record for V2Si4O11. The XRD peak list is computed, not measured: it uses a cell relaxed with PBE+U and λ = 1.5418 Å (Cu Kα).
Lines closer than 0.1° are merged.

```
data_V2Si4O11
_chemical_formula_sum 'V4 Si8 O22'
_symmetry_space_group_name_H-M 'P -1'
_symmetry_Int_Tables_number 2
_symmetry_space_group_name_Hall '-P 1'
_cell_length_a 6.993
_cell_length_b 7.380
_cell_length_c 8.618
_cell_angle_alpha 99.35
_cell_angle_beta 101.28
_cell_angle_gamma 104.85
loop_
_atom_site_label
_atom_site_fract_x
_atom_site_fract_y
_atom_site_fract_z
_atom_site_occupancy
V1 0.113 0.375 0.115 1
V2 0.385 0.623 0.886 1
Si1 0.020 0.221 0.721 1
Si2 0.270 0.620 0.477 1
Si3 0.272 0.982 0.104 1
Si4 0.458 0.218 0.723 1
O1 0.088 0.418 0.873 1
O2 0.104 0.741 0.443 1
O3 0.107 0.958 0.215 1
O4 0.180 0.797 0.945 1
O5 0.195 0.419 0.340 1
O6 0.214 0.163 0.685 1
O7 0.311 0.592 0.660 1
O8 0.320 0.200 0.071 1
O9 0.431 0.583 0.127 1
O10 0.477 0.756 0.442 1
O11 0.484 0.958 0.205 1
```

Most intense lines, 2θ from 15° to 90°, sorted by position:
(hkl)  2θ/deg  intensity
1 1 -2  25.49  53
1 -2 1  26.46  41
1 -1 2  27.15  27
0 1 2  27.54  73
0 2 1  30.06  70
2 -2 0  31.47  100
2 1 -1  32.10  100
0 1 -3  32.26  34
-2 1 3  39.15  27
-4 1 1  52.34  43